Entry 1:
For VCoO3, a PBE+U-relaxed structure gives the theoretical X-ray diffraction stick pattern in this record (copper Kα).
No peak broadening, texture or thermal motion is included.

Structure:
a = 3.7761 Å, b = 3.7761 Å, c = 3.7761 Å
α = 90.00°, β = 90.00°, γ = 90.00°
Sites, in units of the cell vectors:
V 0.0000 0.0000 0.0000
Co 0.5000 0.5000 0.5000
O 0.0000 0.0000 0.5000
O 0.0000 0.5000 0.0000
O 0.5000 0.0000 0.0000

Most intense lines, 2θ from 15° to 90°, by angle:
d_spacing  I/Imax  hkl
3.776  1  1 0 0
2.670  100  1 1 0
2.180  14  1 1 1
1.888  46  2 0 0
1.542  35  2 1 1
1.335  24  2 2 0
1.194  14  3 1 0
1.139  3  3 1 1

Entry 2:
For V2CoO8, a PBE+U-relaxed structure gives the theoretical X-ray diffraction stick pattern in this record (copper Kα).
No peak broadening, texture or thermal motion is included.

Structure:
a = 5.6454 Å, b = 10.7870 Å, c = 12.2360 Å
α = 90.00°, β = 90.00°, γ = 90.00°
Sites, in units of the cell vectors:
V 0.1782 0.0297 0.1696
V 0.1782 0.4703 0.1696
V 0.3218 0.5297 0.6696
V 0.3218 0.9703 0.6696
V 0.6782 0.0297 0.3304
V 0.6782 0.4703 0.3304
V 0.8218 0.5297 0.8304
V 0.8218 0.9703 0.8304
Co 0.0211 0.7500 0.0381
Co 0.4789 0.2500 0.5381
Co 0.5211 0.7500 0.4619
Co 0.9789 0.2500 0.9619
O 0.0283 0.5584 0.7224
O 0.0283 0.9416 0.7224
O 0.1190 0.1255 0.0651
O 0.1190 0.3745 0.0651
O 0.1499 0.6203 0.1302
O 0.1499 0.8797 0.1302
O 0.2160 0.2500 0.4649
O 0.2408 0.2500 0.8878
O 0.2592 0.7500 0.3878
O 0.2840 0.7500 0.9649
O 0.3501 0.1203 0.6302
O 0.3501 0.3797 0.6302
O 0.3810 0.6255 0.5651
O 0.3810 0.8745 0.5651
O 0.4717 0.0584 0.2224
O 0.4717 0.4416 0.2224
O 0.5283 0.5584 0.7776
O 0.5283 0.9416 0.7776
O 0.6190 0.1255 0.4349
O 0.6190 0.3745 0.4349
O 0.6499 0.6203 0.3698
O 0.6499 0.8797 0.3698
O 0.7160 0.2500 0.0351
O 0.7408 0.2500 0.6122
O 0.7592 0.7500 0.1122
O 0.7840 0.7500 0.5351
O 0.8501 0.1203 0.8698
O 0.8501 0.3797 0.8698
O 0.8810 0.6255 0.9349
O 0.8810 0.8745 0.9349
O 0.9717 0.0584 0.2776
O 0.9717 0.4416 0.2776

Most intense lines, 2θ from 15° to 90°, by angle:
d_spacing  I/Imax  hkl
5.126  98  1 0 1
4.149  52  1 0 2
4.046  100  0 2 2
3.450  24  0 3 1
3.289  48  1 2 2
2.819  18  1 2 3
2.750  16  2 0 1
2.693  18  0 4 0
1.905  18  1 4 4
1.708  12  3 0 3

Entry 3:
For Co3WO8, a PBE+U-relaxed structure gives the theoretical X-ray diffraction stick pattern in this record (copper Kα).
No peak broadening, texture or thermal motion is included.

Structure:
a = 5.7871 Å, b = 5.7871 Å, c = 9.1825 Å
α = 90.00°, β = 90.00°, γ = 120.00°
Sites, in units of the cell vectors:
Co 0.1675 0.3350 0.0000
Co 0.1675 0.8325 0.0000
Co 0.3350 0.1675 0.5000
Co 0.6650 0.8325 0.0000
Co 0.8325 0.1675 0.5000
Co 0.8325 0.6650 0.5000
W 0.3333 0.6667 0.2797
W 0.6667 0.3333 0.7797
O 0.0000 0.0000 0.0960
O 0.0000 0.0000 0.5960
O 0.0406 0.5203 0.1269
O 0.1699 0.3399 0.3826
O 0.1699 0.8301 0.3826
O 0.3333 0.6667 0.9004
O 0.3399 0.1699 0.8826
O 0.4797 0.5203 0.1269
O 0.4797 0.9594 0.1269
O 0.5203 0.0406 0.6269
O 0.5203 0.4797 0.6269
O 0.6601 0.8301 0.3826
O 0.6667 0.3333 0.4004
O 0.8301 0.1699 0.8826
O 0.8301 0.6601 0.8826
O 0.9594 0.4797 0.6269

Most intense lines, 2θ from 15° to 90°, by angle:
d_spacing  I/Imax  hkl
4.399  100  1 0 1
3.385  29  1 0 2
2.612  34  1 0 3
2.448  43  1 1 2
2.417  28  2 0 1
1.939  17  2 0 3
1.855  15  2 1 1
1.611  19  2 1 3
1.481  19  2 0 5
1.447  16  2 2 0

Entry 4:
For CoW2O8, a PBE+U-relaxed structure gives the theoretical X-ray diffraction stick pattern in this record (copper Kα).
No peak broadening, texture or thermal motion is included.

Structure:
a = 5.0118 Å, b = 5.8703 Å, c = 10.2659 Å
α = 90.00°, β = 116.02°, γ = 90.00°
Sites, in units of the cell vectors:
Co 0.0000 0.1566 0.2500
Co 0.0000 0.8434 0.7500
W 0.2325 0.3304 0.9908
W 0.2325 0.6696 0.4908
W 0.7675 0.3304 0.5092
W 0.7675 0.6696 0.0092
O 0.1680 0.3918 0.6126
O 0.1680 0.6082 0.1126
O 0.2058 0.1605 0.1444
O 0.2058 0.8395 0.6444
O 0.2526 0.0954 0.8821
O 0.2526 0.9046 0.3821
O 0.3218 0.3954 0.3934
O 0.3218 0.6046 0.8934
O 0.6782 0.3954 0.1066
O 0.6782 0.6046 0.6066
O 0.7474 0.0954 0.6179
O 0.7474 0.9046 0.1179
O 0.7942 0.1605 0.3556
O 0.7942 0.8395 0.8556
O 0.8320 0.3918 0.8874
O 0.8320 0.6082 0.3874

Most intense lines, 2θ from 15° to 90°, by angle:
d_spacing  I/Imax  hkl
5.870  40  0 1 0
4.613  98  0 0 2
3.808  100  1 1 -1
3.627  59  0 1 2
2.999  96  1 1 1
2.878  87  1 1 -3
2.532  43  1 2 -1
2.502  28  2 0 -2
2.194  37  1 2 -3
1.801  33  0 3 2

Entry 5:
For CoW2O8, a PBE+U-relaxed structure gives the theoretical X-ray diffraction stick pattern in this record (copper Kα).
No peak broadening, texture or thermal motion is included.

Structure:
a = 5.0908 Å, b = 5.5345 Å, c = 5.8000 Å
α = 107.81°, β = 90.41°, γ = 116.99°
Sites, in units of the cell vectors:
Co 0.0000 0.0000 0.0000
W 0.2535 0.4913 0.6656
W 0.7465 0.5087 0.3344
O 0.0191 0.2461 0.8234
O 0.0276 0.7108 0.6762
O 0.4456 0.2274 0.0753
O 0.4560 0.2761 0.5390
O 0.5440 0.7239 0.4610
O 0.5544 0.7726 0.9247
O 0.9724 0.2892 0.3238
O 0.9809 0.7539 0.1766

Most intense lines, 2θ from 15° to 90°, by angle:
d_spacing  I/Imax  hkl
4.626  80  0 1 0
4.345  47  0 1 -1
3.787  32  1 0 -1
3.757  38  1 -1 1
3.197  100  1 0 1
3.041  22  0 1 1
2.720  32  1 1 -1
2.700  30  1 -2 1
2.545  26  2 -1 0
1.752  24  0 2 -3

Entry 6:
For CoWO4, a PBE+U-relaxed structure gives the theoretical X-ray diffraction stick pattern in this record (copper Kα).
No peak broadening, texture or thermal motion is included.

Structure:
a = 4.7014 Å, b = 5.7669 Å, c = 5.0617 Å
α = 90.00°, β = 90.76°, γ = 90.00°
Sites, in units of the cell vectors:
Co 0.0000 0.1581 0.0000
Co 0.0000 0.8419 0.5000
W 0.4996 0.3273 0.4997
W 0.4996 0.6727 0.9997
O 0.2405 0.1253 0.3503
O 0.2405 0.8747 0.8503
O 0.2820 0.3914 0.8185
O 0.2820 0.6086 0.3185
O 0.7167 0.3903 0.1801
O 0.7167 0.6097 0.6801
O 0.7593 0.1264 0.6495
O 0.7593 0.8736 0.1495

Most intense lines, 2θ from 15° to 90°, by angle:
d_spacing  I/Imax  hkl
4.701  52  1 0 0
3.804  53  0 1 1
3.644  61  1 1 0
2.972  100  1 1 -1
2.943  97  1 1 1
2.531  33  0 0 2
2.505  43  0 2 1
1.779  31  1 3 0
1.709  41  2 0 2
1.453  28  1 3 2

Entry 7:
For YCoO3, a PBE+U-relaxed structure gives the theoretical X-ray diffraction stick pattern in this record (copper Kα).
No peak broadening, texture or thermal motion is included.

Structure:
a = 3.7858 Å, b = 3.7858 Å, c = 3.7858 Å
α = 90.00°, β = 90.00°, γ = 90.00°
Sites, in units of the cell vectors:
Y 0.0000 0.0000 0.0000
Co 0.5000 0.5000 0.5000
O 0.0000 0.5000 0.5000
O 0.5000 0.0000 0.5000
O 0.5000 0.5000 0.0000

Most intense lines, 2θ from 15° to 90°, by angle:
d_spacing  I/Imax  hkl
3.786  1  1 0 0
2.677  100  1 1 0
2.186  12  1 1 1
1.893  37  2 0 0
1.693  1  2 1 0
1.546  36  2 1 1
1.338  21  2 2 0
1.197  15  3 1 0
1.141  3  3 1 1
1.093  7  2 2 2